1.
Calculated X-ray diffraction stick pattern of Hg3Bi for Cu Kα, 1.54184 Å, from the GGA-PBE geometry in the Materials Project.
Peak positions follow from Bragg's law for the DFT cell and can differ from measured ones.

Atomic structure:
```
Hg3Bi
1.0
4.759 0.000 0.000
0.000 4.759 0.000
0.000 0.000 4.759
Hg Bi
3 1
Direct
0.000 0.000 0.500 Hg
0.000 0.500 0.000 Hg
0.500 0.000 0.000 Hg
0.500 0.500 0.500 Bi
```

Peak list (7 most intense, 2θ from 10° to 90°, low angle first)
two_theta	d_spacing	I/Imax
32.59	2.748	100
37.81	2.380	51
54.54	1.683	36
64.99	1.435	43
68.27	1.374	12
80.77	1.190	6
89.83	1.092	19

2.
Calculated X-ray diffraction stick pattern of BiMoRh for Cu Kα, 1.54184 Å, from the GGA-PBE geometry in the Materials Project.
Peak positions follow from Bragg's law for the DFT cell and can differ from measured ones.

Atomic structure:
```
BiMoRh
1.0
0.000 3.170 3.170
3.170 0.000 3.170
3.170 3.170 0.000
Bi Mo Rh
1 1 1
Direct
0.000 0.000 0.000 Bi
0.250 0.250 0.250 Mo
0.500 0.500 0.500 Rh
```

Peak list (10 most intense, 2θ from 10° to 90°, low angle first)
two_theta	d_spacing	I/Imax
24.31	3.661	29
28.15	3.170	35
40.23	2.242	100
47.56	1.912	15
49.82	1.830	10
58.20	1.585	17
64.00	1.455	6
65.87	1.418	13
73.11	1.294	35
86.91	1.121	12

3.
Calculated X-ray diffraction stick pattern of PuI4O12 for Cu Kα, 1.54184 Å, from the GGA-PBE geometry in the Materials Project.
Peak positions follow from Bragg's law for the DFT cell and can differ from measured ones.

Atomic structure:
```
PuI4O12
1.0
10.141 0.000 0.000
0.000 10.141 0.000
0.000 0.000 5.394
Pu I O
2 8 24
Direct
0.250 0.250 0.250 Pu
0.750 0.750 0.750 Pu
0.022 0.748 0.219 I
0.248 0.978 0.719 I
0.252 0.522 0.719 I
0.478 0.752 0.219 I
0.522 0.248 0.781 I
0.748 0.478 0.281 I
0.752 0.022 0.281 I
0.978 0.252 0.781 I
0.061 0.328 0.050 O
0.098 0.323 0.554 O
0.129 0.847 0.754 O
0.153 0.629 0.254 O
0.172 0.061 0.450 O
0.177 0.098 0.946 O
0.323 0.402 0.946 O
0.328 0.439 0.450 O
0.347 0.871 0.254 O
0.371 0.653 0.754 O
0.402 0.177 0.554 O
0.439 0.172 0.050 O
0.561 0.828 0.950 O
0.598 0.823 0.446 O
0.629 0.347 0.246 O
0.653 0.129 0.746 O
0.672 0.561 0.550 O
0.677 0.598 0.054 O
0.823 0.902 0.054 O
0.828 0.939 0.550 O
0.847 0.371 0.746 O
0.871 0.153 0.246 O
0.902 0.677 0.446 O
0.939 0.672 0.950 O
```

Peak list (10 most intense, 2θ from 10° to 90°, low angle first)
two_theta	d_spacing	I/Imax
12.34	7.171	18
17.49	5.071	17
25.66	3.471	100
27.82	3.207	13
33.22	2.697	11
35.41	2.535	16
36.01	2.494	25
43.86	2.064	13
49.33	1.847	14
51.39	1.778	25

4.
Calculated X-ray diffraction stick pattern of Ba2PCl for Cu Kα, 1.54184 Å, from the GGA-PBE geometry in the Materials Project.
Peak positions follow from Bragg's law for the DFT cell and can differ from measured ones.

Atomic structure:
```
Ba2PCl
1.0
2.337 1.349 7.693
-2.337 1.349 7.693
0.000 -2.698 7.693
Ba P Cl
2 1 1
Direct
0.240 0.240 0.240 Ba
0.760 0.760 0.760 Ba
0.500 0.500 0.500 P
0.000 0.000 0.000 Cl
```

Peak list (10 most intense, 2θ from 10° to 90°, low angle first)
two_theta	d_spacing	I/Imax
23.12	3.847	14
23.29	3.819	49
26.91	3.314	100
38.31	2.349	33
38.53	2.337	39
45.45	1.996	24
47.62	1.910	20
62.55	1.485	12
62.85	1.479	17
69.56	1.352	11

5.
Calculated X-ray diffraction stick pattern of Cs2NaC6N9 for Cu Kα, 1.54184 Å, from the GGA-PBE geometry in the Materials Project.
Peak positions follow from Bragg's law for the DFT cell and can differ from measured ones.

Atomic structure:
```
Cs2NaC6N9
1.0
7.240 0.000 0.000
-3.620 6.270 0.000
0.000 0.000 14.850
Cs Na C N
4 2 12 18
Direct
0.333 0.667 0.070 Cs
0.333 0.667 0.430 Cs
0.667 0.333 0.570 Cs
0.667 0.333 0.930 Cs
0.000 0.000 0.000 Na
0.000 0.000 0.500 Na
0.142 0.802 0.672 C
0.142 0.802 0.828 C
0.198 0.340 0.672 C
0.198 0.340 0.828 C
0.340 0.142 0.172 C
0.340 0.142 0.328 C
0.660 0.858 0.672 C
0.660 0.858 0.828 C
0.802 0.660 0.172 C
0.802 0.660 0.328 C
0.858 0.198 0.172 C
0.858 0.198 0.328 C
0.069 0.713 0.750 N
0.134 0.327 0.598 N
0.134 0.327 0.902 N
0.193 0.866 0.598 N
0.193 0.866 0.902 N
0.287 0.356 0.750 N
0.327 0.193 0.098 N
0.327 0.193 0.402 N
0.356 0.069 0.250 N
0.644 0.931 0.750 N
0.673 0.807 0.598 N
0.673 0.807 0.902 N
0.713 0.644 0.250 N
0.807 0.134 0.098 N
0.807 0.134 0.402 N
0.866 0.673 0.098 N
0.866 0.673 0.402 N
0.931 0.287 0.250 N
```

Peak list (10 most intense, 2θ from 10° to 90°, low angle first)
two_theta	d_spacing	I/Imax
11.92	7.425	29
22.89	3.885	100
24.59	3.620	43
27.41	3.254	69
28.47	3.135	24
29.11	3.067	55
33.38	2.684	32
33.84	2.649	58
42.28	2.138	36
49.19	1.852	22

6.
Calculated X-ray diffraction stick pattern of In3Co for Cu Kα, 1.54184 Å, from the GGA-PBE geometry in the Materials Project.
Peak positions follow from Bragg's law for the DFT cell and can differ from measured ones.

Atomic structure:
```
In3Co
1.0
6.899 0.000 0.000
0.000 6.899 0.000
0.000 0.000 7.145
In Co
12 4
Direct
0.000 0.500 0.000 In
0.000 0.500 0.500 In
0.154 0.154 0.244 In
0.154 0.154 0.756 In
0.346 0.654 0.256 In
0.346 0.654 0.744 In
0.500 0.000 0.000 In
0.500 0.000 0.500 In
0.654 0.346 0.256 In
0.654 0.346 0.744 In
0.846 0.846 0.244 In
0.846 0.846 0.756 In
0.151 0.849 0.000 Co
0.349 0.349 0.500 Co
0.651 0.651 0.500 Co
0.849 0.151 0.000 Co
```

Peak list (10 most intense, 2θ from 10° to 90°, low angle first)
two_theta	d_spacing	I/Imax
28.94	3.085	36
31.03	2.882	51
36.20	2.482	38
38.56	2.335	100
41.38	2.182	62
51.14	1.786	18
59.51	1.553	15
62.78	1.480	18
67.81	1.382	27
79.47	1.206	16

7.
Calculated X-ray diffraction stick pattern of BeSiP2 for Cu Kα, 1.54184 Å, from the GGA-PBE geometry in the Materials Project.
Peak positions follow from Bragg's law for the DFT cell and can differ from measured ones.

Atomic structure:
```
BeSiP2
1.0
-2.570 2.570 5.097
2.570 -2.570 5.097
2.570 2.570 -5.097
Be Si P
2 2 4
Direct
0.000 0.000 0.000 Be
0.750 0.250 0.500 Be
0.250 0.750 0.500 Si
0.500 0.500 0.000 Si
0.110 0.625 0.985 P
0.375 0.360 0.485 P
0.640 0.125 0.015 P
0.875 0.890 0.515 P
```

Peak list (10 most intense, 2θ from 10° to 90°, low angle first)
two_theta	d_spacing	I/Imax
19.34	4.589	10
30.20	2.959	100
31.57	2.834	6
40.22	2.242	7
50.21	1.817	19
50.44	1.809	39
59.72	1.548	24
60.12	1.539	12
73.75	1.285	6
82.06	1.174	10